The following is a computed powder diffractogram of Ga4O5F. It was derived from a GGA-PBE-relaxed structure, using Cu Kα (λ = 1.5418 Å).

Crystal structure
Cell lengths 5.8766, 8.1001, 4.8943 Å; angles 90.00, 90.00, 90.00 degrees
Space group Pmmn (No. 59, origin choice 2)
Symmetry-distinct sites (fractional):
Ga1 0.0149 0.2500 0.0293 [4 per cell]
Ga2 0.2500 0.5286 0.4583 [4 per cell]
O1 0.0093 0.5695 0.7286 [8 per cell]
O2 0.2500 0.7500 0.2157 [2 per cell]
F1 0.2500 0.2500 0.7074 [2 per cell]

Main lines, by angle (2θ from 10° to 80°):
| 2θ/deg | I (rel.) | hkl |
| --- | --- | --- |
| 28.61 | 100 | 0 2 1 |
| 35.64 | 54 | 2 0 1 |
| 36.69 | 15 | 0 0 2 |
| 37.83 | 25 | 2 2 0 |
| 53.75 | 42 | 2 2 2 |
| 58.48 | 20 | 2 4 1 |



The following is a computed powder diffractogram of GaS2O6F2. It was derived from a GGA-PBE-relaxed structure, using Cu Kα (λ = 1.5418 Å).

Crystal structure
Cell lengths 5.5185, 5.5185, 6.3346 Å; angles 90.00, 90.00, 120.00 degrees
Space group P-3m1 (No. 164)
Symmetry-distinct sites (fractional):
Ga1 0.0000 0.0000 0.0000 [1 per cell]
S1 0.3333 0.6667 0.7452 [2 per cell]
O1 0.1846 0.3693 0.7980 [6 per cell]
F1 0.3333 0.6667 0.4914 [2 per cell]

Main lines, by angle (2θ from 10° to 80°):
| 2θ/deg | I (rel.) | hkl |
| --- | --- | --- |
| 13.98 | 11 | 0 0 1 |
| 23.32 | 100 | 1 0 1 |
| 32.45 | 26 | 1 1 0 |
| 33.96 | 15 | 1 0 2 |
| 47.67 | 13 | 2 0 2 |
| 52.69 | 16 | 2 1 1 |



The following is a computed powder diffractogram of GaOs2F2. It was derived from a GGA-PBE-relaxed structure, using Cu Kα (λ = 1.5418 Å).

Crystal structure
Cell lengths 3.3891, 3.3891, 11.4514 Å; angles 90.00, 90.00, 90.00 degrees
Space group I4/mmm (No. 139)
Symmetry-distinct sites (fractional):
Ga1 0.0000 0.0000 0.0000 [2 per cell]
Os1 0.0000 0.0000 0.3998 [4 per cell]
F1 0.0000 0.5000 0.2500 [4 per cell]

Main lines, by angle (2θ from 10° to 80°):
| 2θ/deg | I (rel.) | hkl |
| --- | --- | --- |
| 15.48 | 40 | 0 0 2 |
| 27.45 | 100 | 1 0 1 |
| 35.42 | 36 | 1 0 3 |
| 37.53 | 71 | 1 1 0 |
| 47.94 | 86 | 1 0 5 |
| 75.17 | 45 | 2 1 5 |



The following is a computed powder diffractogram of GaPS2F. It was derived from a GGA-PBE-relaxed structure, using Cu Kα (λ = 1.5418 Å).

Crystal structure
Cell lengths 5.0548, 5.0548, 3.6614 Å; angles 90.00, 90.00, 90.00 degrees
Space group P4/mmm (No. 123)
Symmetry-distinct sites (fractional):
Ga1 0.0000 0.0000 0.0000 [1 per cell]
P1 0.5000 0.5000 0.0000 [1 per cell]
S1 0.0000 0.5000 0.5000 [2 per cell]
F1 0.5000 0.5000 0.5000 [1 per cell]

Main lines, by angle (2θ from 10° to 80°):
| 2θ/deg | I (rel.) | hkl |
| --- | --- | --- |
| 30.14 | 26 | 1 0 1 |
| 35.09 | 100 | 1 1 1 |
| 35.52 | 77 | 2 0 0 |
| 51.11 | 25 | 2 2 0 |
| 62.66 | 26 | 2 0 2 |
| 63.50 | 33 | 3 1 1 |



The following is a computed powder diffractogram of PaGa3F8. It was derived from a GGA-PBE-relaxed structure, using Cu Kα (λ = 1.5418 Å).

Crystal structure
Cell lengths 5.9371, 5.9371, 5.9371 Å; angles 90.00, 90.00, 90.00 degrees
Space group Pm-3m (No. 221)
Symmetry-distinct sites (fractional):
Pa1 0.0000 0.0000 0.0000 [1 per cell]
Ga1 0.0000 0.5000 0.5000 [3 per cell]
F1 0.2174 0.2174 0.2174 [8 per cell]

Main lines, by angle (2θ from 10° to 80°):
| 2θ/deg | I (rel.) | hkl |
| --- | --- | --- |
| 14.92 | 46 | 1 0 0 |
| 21.16 | 30 | 1 1 0 |
| 25.99 | 100 | 1 1 1 |
| 30.10 | 23 | 2 0 0 |
| 43.09 | 64 | 2 2 0 |
| 51.02 | 47 | 3 1 1 |



The following is a computed powder diffractogram of PaGaF4. It was derived from a GGA-PBE-relaxed structure, using Cu Kα (λ = 1.5418 Å).

Crystal structure
Cell lengths 5.1466, 5.1466, 10.0770 Å; angles 90.00, 90.00, 90.00 degrees
Space group I-4 (No. 82)
Symmetry-distinct sites (fractional):
Pa1 0.0000 0.0000 0.0000 [2 per cell]
Ga1 0.0000 0.5000 0.2500 [2 per cell]
F1 0.1875 0.7019 0.8907 [8 per cell]

Main lines, by angle (2θ from 10° to 80°):
| 2θ/deg | I (rel.) | hkl |
| --- | --- | --- |
| 19.37 | 100 | 1 0 1 |
| 30.30 | 58 | 1 1 2 |
| 31.81 | 32 | 1 0 3 |
| 40.19 | 34 | 2 1 1 |
| 47.91 | 20 | 1 2 3 |
| 50.71 | 18 | 2 0 4 |



The following is a computed powder diffractogram of Ga3Pb5F19. It was derived from a GGA-PBE-relaxed structure, using Cu Kα (λ = 1.5418 Å).

Crystal structure
Cell lengths 14.5027, 14.5027, 7.9315 Å; angles 90.00, 90.00, 90.00 degrees
Space group I4cm (No. 108)
Symmetry-distinct sites (fractional):
Ga1 0.0000 0.0000 0.0000 [4 per cell]
Ga2 0.1588 0.3412 0.2781 [8 per cell]
Pb1 0.0000 0.5000 0.4275 [4 per cell]
Pb2 0.0755 0.2236 0.8410 [16 per cell]
F1 0.0000 0.0000 0.2438 [4 per cell]
F2 0.0529 0.1196 0.4875 [16 per cell]
F3 0.0601 0.3114 0.4345 [16 per cell]
F4 0.0731 0.4269 0.1786 [8 per cell]
F5 0.1100 0.2459 0.1317 [16 per cell]
F6 0.1196 0.3804 0.8220 [8 per cell]
F7 0.2445 0.2555 0.3655 [8 per cell]

Main lines, by angle (2θ from 10° to 80°):
| 2θ/deg | I (rel.) | hkl |
| --- | --- | --- |
| 22.42 | 72 | 0 0 2 |
| 24.82 | 77 | 3 2 1 |
| 27.50 | 65 | 4 2 0 |
| 27.74 | 100 | 4 1 1 |
| 42.79 | 39 | 4 1 3 |
| 50.08 | 42 | 7 1 2 |



The following is a computed powder diffractogram of TlGaPb2F8. It was derived from a GGA-PBE-relaxed structure, using Cu Kα (λ = 1.5418 Å).

Crystal structure
Cell lengths 5.3016, 5.4107, 7.7073 Å; angles 92.00, 90.01, 91.30 degrees
Space group P-1 (No. 2)
Symmetry-distinct sites (fractional):
Tl1 0.0000 0.0000 0.0000 [1 per cell]
Ga1 0.0000 0.0000 0.5000 [1 per cell]
Pb1 0.4814 0.5105 0.7380 [2 per cell]
F1 0.1666 0.1949 0.3271 [2 per cell]
F2 0.2224 0.1318 0.6831 [2 per cell]
F3 0.2362 0.7347 0.4555 [2 per cell]
F4 0.2946 0.6251 0.0282 [2 per cell]

Main lines, by angle (2θ from 10° to 80°):
| 2θ/deg | I (rel.) | hkl |
| --- | --- | --- |
| 23.23 | 94 | 1 -1 0 |
| 23.78 | 93 | 1 1 0 |
| 27.97 | 48 | 0 1 -2 |
| 28.65 | 100 | 1 0 2 |
| 28.93 | 44 | 0 1 2 |
| 44.73 | 57 | -1 2 2 |